[1]
For CsMg14Cr, a DFT-relaxed cell (GGA-PBE, the Materials Project) gives the simulated X-ray diffraction stick pattern in this record (copper Kα).
Neutral-atom scattering factors, no anomalous dispersion.

Top 10 peaks for 2θ from 10° to 90°, in order of rising 2θ:
- hkl 1 0 0, 15.7°, 5.645 Å, I 29
- hkl 1 0 2, 22.8°, 3.896 Å, I 27
- hkl 2 0 0, 31.7°, 2.822 Å, I 28
- hkl 0 0 4, 33.3°, 2.692 Å, I 25
- hkl 2 0 2, 35.9°, 2.500 Å, I 100
- hkl 2 0 4, 46.6°, 1.948 Å, I 18
- hkl 2 2 0, 56.5°, 1.630 Å, I 17
- hkl 2 0 6, 61.2°, 1.515 Å, I 18
- hkl 2 2 4, 67.1°, 1.394 Å, I 18
- hkl 4 0 2, 68.8°, 1.365 Å, I 14

Atomic structure:
Cell lengths 6.5183, 6.5183, 10.7697 Å; angles 90.00, 90.00, 120.00 degrees
Space group P-6m2 (No. 187)
Symmetry-distinct sites (fractional):
Cs  0.0000  0.0000  0.0000 [1 per cell]
Mg  0.0057  0.5029  0.0000 [3 per cell]
Mg  0.1698  0.3395  0.2729 [6 per cell]
Mg  0.5024  0.0048  0.5000 [3 per cell]
Mg  0.6667  0.3333  0.2439 [2 per cell]
Cr  0.0000  0.0000  0.5000 [1 per cell]

[2]
For Mg6AlC, a DFT-relaxed cell (GGA-PBE, the Materials Project) gives the simulated X-ray diffraction stick pattern in this record (copper Kα).
Neutral-atom scattering factors, no anomalous dispersion.

Top 10 peaks for 2θ from 10° to 90°, in order of rising 2θ:
- hkl 1 1 1, 28.8°, 3.097 Å, I 13
- hkl 0 3 1, 32.2°, 2.778 Å, I 20
- hkl 0 0 4, 35.7°, 2.512 Å, I 31
- hkl 1 2 2, 37.5°, 2.398 Å, I 100
- hkl 1 1 3, 38.6°, 2.334 Å, I 25
- hkl 0 4 0, 41.7°, 2.168 Å, I 10
- hkl 0 4 2, 45.6°, 1.991 Å, I 11
- hkl 2 0 0, 52.1°, 1.756 Å, I 14
- hkl 2 0 4, 64.8°, 1.439 Å, I 10
- hkl 1 2 6, 65.4°, 1.427 Å, I 13

Atomic structure:
Cell lengths 3.5120, 8.6736, 10.0482 Å; angles 90.00, 90.00, 90.00 degrees
Space group Amm2 (No. 38)
Symmetry-distinct sites (fractional):
Mg  0.0000  0.0000  0.0000 [2 per cell]
Mg  0.0000  0.0000  0.4528 [2 per cell]
Mg  0.0000  0.1676  0.7053 [4 per cell]
Mg  0.5000  0.2430  0.4639 [4 per cell]
Al  0.5000  0.0000  0.2206 [2 per cell]
C  0.5000  0.0000  0.5945 [2 per cell]

[3]
For BaAs3, a DFT-relaxed cell (GGA-PBE, the Materials Project) gives the simulated X-ray diffraction stick pattern in this record (copper Kα).
Neutral-atom scattering factors, no anomalous dispersion.

Top 10 peaks for 2θ from 10° to 90°, in order of rising 2θ:
- hkl 1 1 1, 24.2°, 3.684 Å, I 29
- hkl 0 2 1, 27.6°, 3.232 Å, I 12
- hkl 2 2 -1, 29.7°, 3.006 Å, I 100
- hkl 3 1 0, 30.5°, 2.931 Å, I 40
- hkl 0 0 2, 31.8°, 2.814 Å, I 19
- hkl 2 2 1, 37.1°, 2.424 Å, I 13
- hkl 1 3 1, 40.6°, 2.225 Å, I 14
- hkl 0 4 0, 46.0°, 1.974 Å, I 16
- hkl 4 2 1, 52.9°, 1.731 Å, I 12
- hkl 4 2 -3, 54.1°, 1.695 Å, I 18

Atomic structure:
Cell lengths 10.3199, 7.8943, 6.1335 Å; angles 90.00, 113.43, 90.00 degrees
Space group C2/m (No. 12)
Symmetry-distinct sites (fractional):
Ba  0.1650  0.0000  0.3363 [4 per cell]
As  0.0043  0.5000  0.7959 [4 per cell]
As  0.1389  0.2347  0.8167 [8 per cell]

[4]
For Ca2MgSi2O7, a DFT-relaxed cell (GGA-PBE, the Materials Project) gives the simulated X-ray diffraction stick pattern in this record (copper Kα).
Neutral-atom scattering factors, no anomalous dispersion.

Top 10 peaks for 2θ from 10° to 90°, in order of rising 2θ:
- hkl 2 1 -1, 22.4°, 3.964 Å, I 31
- hkl 3 0 -2, 29.2°, 3.057 Å, I 46
- hkl 1 1 -3, 29.7°, 3.012 Å, I 30
- hkl 1 1 2, 30.9°, 2.891 Å, I 68
- hkl 0 2 2, 31.1°, 2.874 Å, I 81
- hkl 2 2 -2, 31.4°, 2.850 Å, I 100
- hkl 2 2 -3, 36.0°, 2.493 Å, I 26
- hkl 1 3 -1, 36.2°, 2.484 Å, I 34
- hkl 1 3 -2, 39.0°, 2.309 Å, I 24
- hkl 4 1 0, 47.8°, 1.903 Å, I 35

Atomic structure:
Cell lengths 9.2235, 7.8141, 9.9754 Å; angles 90.00, 121.69, 90.00 degrees
Space group P2_1/c (No. 14)
Symmetry-distinct sites (fractional):
Ca  0.0692  0.2180  0.0262 [4 per cell]
Ca  0.4192  0.5562  0.6988 [4 per cell]
Mg  0.2161  0.6034  0.8873 [4 per cell]
Si  0.1603  0.5400  0.2885 [4 per cell]
Si  0.3867  0.2287  0.4170 [4 per cell]
O  0.0040  0.0624  0.6403 [4 per cell]
O  0.1425  0.5485  0.4443 [4 per cell]
O  0.1776  0.7275  0.2255 [4 per cell]
O  0.2519  0.0940  0.2817 [4 per cell]
O  0.3401  0.0715  0.8406 [4 per cell]
O  0.3738  0.2220  0.5732 [4 per cell]
O  0.4308  0.6875  0.0675 [4 per cell]

[5]
For Br, a DFT-relaxed cell (GGA-PBE, the Materials Project) gives the simulated X-ray diffraction stick pattern in this record (copper Kα).
Neutral-atom scattering factors, no anomalous dispersion.

Top 10 peaks for 2θ from 10° to 90°, in order of rising 2θ:
- hkl 0 0 2, 22.8°, 3.897 Å, I 67
- hkl 0 1 1, 25.6°, 3.476 Å, I 100
- hkl 1 0 1, 36.9°, 2.433 Å, I 37
- hkl 0 1 3, 41.8°, 2.159 Å, I 26
- hkl 1 1 0, 42.3°, 2.138 Å, I 25
- hkl 1 1 2, 48.6°, 1.874 Å, I 33
- hkl 1 0 3, 50.0°, 1.824 Å, I 15
- hkl 0 2 2, 52.7°, 1.738 Å, I 13
- hkl 1 2 1, 61.1°, 1.518 Å, I 17
- hkl 1 1 4, 64.7°, 1.440 Å, I 14

Atomic structure:
Cell lengths 2.5610, 3.8840, 7.7935 Å; angles 90.00, 90.00, 90.00 degrees
Space group Immm (No. 71)
Symmetry-distinct sites (fractional):
Br  0.0000  0.0000  0.0000 [2 per cell]

[6]
For ScFe2, a DFT-relaxed cell (GGA-PBE, the Materials Project) gives the simulated X-ray diffraction stick pattern in this record (copper Kα).
Neutral-atom scattering factors, no anomalous dispersion.

Top 10 peaks for 2θ from 10° to 90°, in order of rising 2θ:
- hkl 1 1 1, 22.1°, 4.023 Å, I 18
- hkl 2 2 0, 36.5°, 2.464 Å, I 20
- hkl 3 1 1, 43.1°, 2.101 Å, I 100
- hkl 2 2 2, 45.1°, 2.012 Å, I 49
- hkl 4 0 0, 52.5°, 1.742 Å, I 9
- hkl 3 3 1, 57.7°, 1.599 Å, I 4
- hkl 4 2 2, 65.6°, 1.422 Å, I 6
- hkl 5 1 1, 70.2°, 1.341 Å, I 27
- hkl 4 4 0, 77.5°, 1.232 Å, I 24
- hkl 5 3 1, 81.8°, 1.178 Å, I 3

Atomic structure:
Cell lengths 6.9682, 6.9682, 6.9682 Å; angles 90.00, 90.00, 90.00 degrees
Space group Fd-3m (No. 227, origin choice 2)
Symmetry-distinct sites (fractional):
Sc  0.1250  0.1250  0.1250 [8 per cell]
Fe  0.0000  0.0000  0.5000 [16 per cell]

[7]
For RbNa2P3H6O12, a DFT-relaxed cell (GGA-PBE, the Materials Project) gives the simulated X-ray diffraction stick pattern in this record (copper Kα).
Neutral-atom scattering factors, no anomalous dispersion.

Top 10 peaks for 2θ from 10° to 90°, in order of rising 2θ:
- hkl 0 1 0, 11.2°, 7.896 Å, I 44
- hkl 1 1 1, 14.9°, 5.936 Å, I 47
- hkl 2 0 0, 23.8°, 3.731 Å, I 42
- hkl 0 1 -2, 26.4°, 3.379 Å, I 43
- hkl 2 2 1, 28.1°, 3.174 Å, I 100
- hkl 1 1 -2, 28.2°, 3.165 Å, I 88
- hkl -2 1 1, 28.6°, 3.123 Å, I 59
- hkl 0 2 3, 29.3°, 3.045 Å, I 37
- hkl 1 -1 2, 29.9°, 2.992 Å, I 36
- hkl 2 0 -4, 47.3°, 1.923 Å, I 39

Atomic structure:
Cell lengths 7.6366, 8.8060, 9.8683 Å; angles 66.00, 84.58, 77.76 degrees
Space group P-1 (No. 2)
Symmetry-distinct sites (fractional):
Rb  0.2457  0.1475  0.3802 [2 per cell]
Na  0.1483  0.4728  0.8592 [2 per cell]
Na  0.4703  0.2218  0.7135 [2 per cell]
P  0.0734  0.8617  0.2426 [2 per cell]
P  0.2453  0.8723  0.7996 [2 per cell]
P  0.2581  0.6186  0.1183 [2 per cell]
H  0.1199  0.3821  0.5986 [2 per cell]
H  0.1829  0.5570  0.5388 [2 per cell]
H  0.2852  0.0980  0.0297 [2 per cell]
H  0.3436  0.7408  0.5958 [2 per cell]
H  0.4310  0.2058  0.0072 [2 per cell]
H  0.4868  0.3968  0.3869 [2 per cell]
O  0.0171  0.7693  0.4011 [2 per cell]
O  0.0842  0.7377  0.1559 [2 per cell]
O  0.0911  0.9959  0.8516 [2 per cell]
O  0.1610  0.7742  0.7374 [2 per cell]
O  0.1810  0.4879  0.0941 [2 per cell]
O  0.2037  0.4426  0.6178 [2 per cell]
O  0.2384  0.9384  0.2110 [2 per cell]
O  0.3335  0.7478  0.9621 [2 per cell]
O  0.3346  0.1944  0.9552 [2 per cell]
O  0.3848  0.9696  0.7101 [2 per cell]
O  0.4030  0.5689  0.2289 [2 per cell]
O  0.4490  0.7115  0.5394 [2 per cell]

[8]
For Ca12Al14O33, a DFT-relaxed cell (GGA-PBE, the Materials Project) gives the simulated X-ray diffraction stick pattern in this record (copper Kα).
Neutral-atom scattering factors, no anomalous dispersion.

Top 10 peaks for 2θ from 10° to 90°, in order of rising 2θ:
- hkl 1 2 1, 18.0°, 4.934 Å, I 100
- hkl 2 3 1, 27.6°, 3.236 Å, I 13
- hkl 4 0 0, 29.5°, 3.030 Å, I 22
- hkl 0 0 4, 29.7°, 3.004 Å, I 15
- hkl 2 4 0, 33.1°, 2.708 Å, I 62
- hkl 2 0 4, 33.3°, 2.691 Å, I 19
- hkl 2 4 2, 36.4°, 2.470 Å, I 31
- hkl 5 2 1, 40.8°, 2.211 Å, I 19
- hkl 5 2 3, 46.2°, 1.964 Å, I 21
- hkl 4 2 6, 57.2°, 1.611 Å, I 14

Atomic structure:
Cell lengths 12.1204, 12.1204, 12.0157 Å; angles 90.00, 90.00, 90.00 degrees
Space group I-4 (No. 82)
Symmetry-distinct sites (fractional):
Ca  0.0000  0.0000  0.1775 [4 per cell]
Ca  0.0000  0.5000  0.0127 [4 per cell]
Ca  0.1116  0.7530  0.6223 [8 per cell]
Ca  0.1349  0.2460  0.1222 [8 per cell]
Al  0.0000  0.0000  0.5000 [2 per cell]
Al  0.0000  0.5000  0.7500 [2 per cell]
Al  0.0167  0.2306  0.3584 [8 per cell]
Al  0.0177  0.2693  0.8917 [8 per cell]
Al  0.1260  0.7498  0.1247 [8 per cell]
O  0.0000  0.0000  0.0000 [2 per cell]
O  0.0356  0.8079  0.2227 [8 per cell]
O  0.0369  0.6921  0.0245 [8 per cell]
O  0.0574  0.4025  0.8422 [8 per cell]
O  0.0602  0.1064  0.4197 [8 per cell]
O  0.0670  0.6821  0.4382 [8 per cell]
O  0.0698  0.8058  0.8084 [8 per cell]
O  0.1476  0.2883  0.3174 [8 per cell]
O  0.1533  0.2205  0.9284 [8 per cell]

[9]
For Dy3GaCoSe7, a DFT-relaxed cell (GGA-PBE, the Materials Project) gives the simulated X-ray diffraction stick pattern in this record (copper Kα).
Neutral-atom scattering factors, no anomalous dispersion.

Top 10 peaks for 2θ from 10° to 90°, in order of rising 2θ:
- hkl 1 0 1, 17.2°, 5.169 Å, I 33
- hkl 2 0 1, 24.8°, 3.590 Å, I 100
- hkl 1 2 1, 30.7°, 2.915 Å, I 68
- hkl 3 0 1, 34.1°, 2.631 Å, I 82
- hkl 2 0 2, 34.7°, 2.585 Å, I 90
- hkl 2 2 0, 36.0°, 2.495 Å, I 88
- hkl 1 2 2, 39.3°, 2.295 Å, I 42
- hkl 3 1 1, 40.1°, 2.247 Å, I 38
- hkl 4 0 1, 44.2°, 2.049 Å, I 33
- hkl 2 0 3, 47.2°, 1.925 Å, I 59

Atomic structure:
Cell lengths 9.9814, 9.9814, 6.4492 Å; angles 90.00, 90.00, 120.00 degrees
Space group P6_3 (No. 173)
Symmetry-distinct sites (fractional):
Dy  0.1583  0.3728  0.0000 [6 per cell]
Ga  0.3333  0.6667  0.4243 [2 per cell]
Co  0.0000  0.0000  0.3314 [2 per cell]
Se  0.0812  0.5622  0.2680 [6 per cell]
Se  0.0996  0.2282  0.5875 [6 per cell]
Se  0.3333  0.6667  0.7962 [2 per cell]

[10]
For AlFe4, a DFT-relaxed cell (GGA-PBE, the Materials Project) gives the simulated X-ray diffraction stick pattern in this record (copper Kα).
Neutral-atom scattering factors, no anomalous dispersion.

Top 10 peaks for 2θ from 10° to 90°, in order of rising 2θ:
- hkl 0 0 4, 18.1°, 4.908 Å, I 4
- hkl 1 1 5, 44.1°, 2.053 Å, I 100
- hkl 0 2 0, 44.4°, 2.041 Å, I 25
- hkl 0 0 10, 46.2°, 1.963 Å, I 22
- hkl 2 0 0, 62.2°, 1.492 Å, I 8
- hkl 0 2 10, 66.0°, 1.415 Å, I 14
- hkl 2 2 0, 79.6°, 1.204 Å, I 8
- hkl 2 0 10, 80.9°, 1.188 Å, I 7
- hkl 1 3 5, 81.5°, 1.181 Å, I 14
- hkl 1 1 15, 84.2°, 1.150 Å, I 13

Atomic structure:
Cell lengths 2.9838, 4.0813, 19.6338 Å; angles 90.00, 90.00, 90.00 degrees
Space group Fmmm (No. 69)
Symmetry-distinct sites (fractional):
Al  0.0000  0.0000  0.0000 [4 per cell]
Fe  0.0000  0.0000  0.1998 [8 per cell]
Fe  0.0000  0.0000  0.3995 [8 per cell]